1.
CuCO3: calculated PXRD pattern (CuKα), based on a PBE-relaxed structure.
Kinematic intensities with the Lorentz-polarization factor, no thermal factor.

Crystal structure
a = 8.1047 Å, b = 3.2583 Å, c = 8.1058 Å
α = 90.00°, β = 119.92°, γ = 90.00°
Space group Pm (No. 6)
Asymmetric unit:
Cu1 0.0000 0.0000 0.0000 x1
Cu2 0.2773 0.0000 0.6210 x1
Cu3 0.6566 0.0000 0.2764 x1
C1 0.3110 0.0000 0.9652 x1
C2 0.6444 0.0000 0.6318 x1
C3 0.9778 0.5000 0.2989 x1
O1 0.0350 0.5000 0.1744 x1
O2 0.1009 0.5000 0.4796 x1
O3 0.1286 0.0000 0.8534 x1
O4 0.3819 0.0000 0.1475 x1
O5 0.4228 0.0000 0.8944 x1
O6 0.4606 0.0000 0.5403 x1
O7 0.7363 0.0000 0.5402 x1
O8 0.7361 0.0000 0.8155 x1
O9 0.7957 0.5000 0.2404 x1

The 8 most intense peaks (10° ≤ 2θ ≤ 90°), most intense first:
2theta  I (rel.)  hkl
21.92  100  1 0 1
35.34  59  1 1 1
27.37  45  0 1 0
38.46  26  3 0 0
47.85  24  3 1 0
53.22  24  2 1 2
30.24  16  0 1 1
44.70  15  2 0 2

=====

2.
Cu2CO5: calculated PXRD pattern (CuKα), based on a PBE-relaxed structure.
Kinematic intensities with the Lorentz-polarization factor, no thermal factor.

Crystal structure
a = 2.9967 Å, b = 12.6769 Å, c = 8.9648 Å
α = 90.00°, β = 95.46°, γ = 90.00°
Space group P2_1/c (No. 14)
Asymmetric unit:
Cu1 0.1033 0.2218 0.4968 x4
Cu2 0.3877 0.6183 0.7342 x4
C1 0.4625 0.6307 0.2744 x4
O1 0.0864 0.1043 0.6316 x4
O2 0.1321 0.1516 0.8918 x4
O3 0.2911 0.6312 0.1348 x4
O4 0.3617 0.0500 0.1649 x4
O5 0.4573 0.7218 0.3472 x4

The 8 most intense peaks (10° ≤ 2θ ≤ 90°), most intense first:
2theta  I (rel.)  hkl
13.97  100  0 2 0
34.72  78  0 4 2
17.16  77  0 2 1
24.40  68  0 2 2
34.54  63  1 0 -2
35.28  38  1 1 -2
33.23  25  1 2 0
40.49  25  0 0 4

=====

3.
CuC4O4: calculated PXRD pattern (CuKα), based on a PBE-relaxed structure.
Kinematic intensities with the Lorentz-polarization factor, no thermal factor.

Crystal structure
a = 10.8109 Å, b = 9.0173 Å, c = 5.8409 Å
α = 90.00°, β = 116.25°, γ = 90.00°
Space group C2/c (No. 15)
Asymmetric unit:
Cu1 0.0000 0.0870 0.2500 x4
C1 0.1896 0.2434 0.0989 x8
C2 0.1931 0.1648 0.8798 x8
O1 0.1199 0.2447 0.2230 x8
O2 0.1273 0.0634 0.7238 x8

The 8 most intense peaks (10° ≤ 2θ ≤ 90°), most intense first:
2theta  I (rel.)  hkl
13.41  100  1 1 0
24.67  23  1 1 1
39.34  13  3 3 -1
27.03  10  2 2 0
34.23  10  0 0 2
27.25  10  2 2 -1
32.77  10  1 1 -2
38.86  8  4 2 -1

=====

4.
CuCO3: calculated PXRD pattern (CuKα), based on a PBE-relaxed structure.
Kinematic intensities with the Lorentz-polarization factor, no thermal factor.

Crystal structure
a = 4.3580 Å, b = 4.8735 Å, c = 6.5108 Å
α = 72.86°, β = 72.74°, γ = 67.94°
Space group P-1 (No. 2)
Asymmetric unit:
Cu1 0.0505 0.2228 0.2352 x2
C1 0.4500 0.5861 0.2467 x2
O1 0.1783 0.7992 0.2928 x2
O2 0.2549 0.3763 0.8054 x2
O3 0.4510 0.3143 0.2566 x2

The 8 most intense peaks (10° ≤ 2θ ≤ 90°), most intense first:
2theta  I (rel.)  hkl
29.37  100  0 0 2
24.10  58  1 1 1
22.28  35  0 1 1
41.58  24  2 1 1
22.52  23  1 0 0
40.84  17  0 2 0
27.29  15  0 1 -1
42.77  13  1 1 3

=====

5.
CuCO3: calculated PXRD pattern (CuKα), based on a PBE-relaxed structure.
Kinematic intensities with the Lorentz-polarization factor, no thermal factor.

Crystal structure
a = 6.2177 Å, b = 6.8042 Å, c = 8.2560 Å
α = 90.00°, β = 126.83°, γ = 90.00°
Space group P2_1/c (No. 14)
Asymmetric unit:
Cu1 0.2375 0.0130 0.4880 x4
C1 0.2399 0.6647 0.3056 x4
O1 0.0029 0.6486 0.2606 x4
O2 0.3351 0.5384 0.2467 x4
O3 0.3910 0.6900 0.9182 x4

The 8 most intense peaks (10° ≤ 2θ ≤ 90°), most intense first:
2theta  I (rel.)  hkl
18.72  100  0 1 1
32.67  29  2 1 -1
26.19  16  0 2 0
39.67  14  2 2 -2
43.17  11  0 1 3
45.14  11  2 2 0
50.48  11  2 3 -1
21.60  10  1 0 -2

=====

6.
CuCO3: calculated PXRD pattern (CuKα), based on a PBE-relaxed structure.
Kinematic intensities with the Lorentz-polarization factor, no thermal factor.

Crystal structure
a = 3.3805 Å, b = 13.8344 Å, c = 13.8412 Å
α = 60.19°, β = 88.82°, γ = 88.79°
Space group P1 (No. 1)
Asymmetric unit:
Cu1 0.0000 0.0000 0.0000 x1
Cu2 0.0020 0.3624 0.0070 x1
Cu3 0.0517 0.0310 0.6749 x1
Cu4 0.0712 0.6685 0.6743 x1
Cu5 0.0830 0.6925 0.9818 x1
Cu6 0.1245 0.3567 0.6465 x1
Cu7 0.1304 0.6877 0.3488 x1
Cu8 0.9871 0.0362 0.3143 x1
Cu9 0.9911 0.3339 0.3456 x1
C1 0.0410 0.9101 0.5576 x1
C2 0.0486 0.9075 0.2219 x1
C3 0.0506 0.2416 0.5543 x1
C4 0.0530 0.2433 0.8839 x1
C5 0.0538 0.5744 0.8881 x1
C6 0.0563 0.5702 0.2234 x1
C7 0.5252 0.2472 0.2176 x1
C8 0.5572 0.9033 0.8870 x1
C9 0.5722 0.5722 0.5604 x1
O1 0.0046 0.2426 0.9767 x1
O2 0.0170 0.8179 0.5565 x1
O3 0.0206 0.0039 0.4647 x1
O4 0.0289 0.5472 0.9920 x1
O5 0.0317 0.8215 0.2091 x1
O6 0.0393 0.1503 0.8829 x1
O7 0.0432 0.0067 0.1364 x1
O8 0.0641 0.4975 0.8610 x1
O9 0.0679 0.6781 0.8123 x1
O10 0.0697 0.8943 0.3212 x1
O11 0.0713 0.1798 0.6614 x1
O12 0.0780 0.5693 0.3170 x1
O13 0.0869 0.9094 0.6501 x1
O14 0.1058 0.6624 0.1313 x1
O15 0.1070 0.3478 0.5091 x1
O16 0.1155 0.3351 0.7921 x1
O17 0.4986 0.2757 0.2933 x1
O18 0.5319 0.3214 0.1121 x1
O19 0.5387 0.1411 0.2475 x1
O20 0.5496 0.7983 0.9173 x1
O21 0.5508 0.9330 0.9638 x1
O22 0.5560 0.6484 0.4550 x1
O23 0.5676 0.9802 0.7832 x1
O24 0.5714 0.6042 0.6349 x1
O25 0.5973 0.4681 0.5886 x1
O26 0.9743 0.1984 0.4932 x1
O27 0.9837 0.4794 0.2228 x1

The 8 most intense peaks (10° ≤ 2θ ≤ 90°), most intense first:
2theta  I (rel.)  hkl
22.24  100  0 3 0
26.37  47  1 0 0
34.53  18  1 3 0
34.96  18  1 0 -3
39.07  15  0 3 6
34.35  12  1 3 3
45.32  12  0 6 0
47.26  11  1 3 6